1.
Diffraction record for Ba4YCu3O9. The PXRD pattern is theoretical, not measured: it uses a cell relaxed with PBE and a wavelength of 1.5418 Å.
Peak positions follow from Bragg's law for the DFT cell and can differ from measured ones.

Top 8 peaks for 10 to 90 degrees two-theta, sorted by position:
two_theta	d/Å	I/Imax	index
21.77	4.082	5.7	2 0 0
30.98	2.887	100.0	2 2 0
38.18	2.357	8.5	2 2 2
44.38	2.041	27.8	4 0 0
55.10	1.667	38.2	4 2 2
64.57	1.443	16.8	4 4 0
73.33	1.291	16.9	6 2 0
89.91	1.091	20.5	6 4 2

Cell lengths 8.1649, 8.1649, 8.1649 Å; angles 90.00, 90.00, 90.00 degrees
Space group Pm-3n (No. 223)
One atom of each set of equivalent atoms:
Ba1 0.2500 0.2500 0.2500 x8
Y1 0.0000 0.0000 0.0000 x2
Cu1 0.0000 0.0000 0.5000 x6
O1 0.0000 0.0000 0.2731 x12
O2 0.0000 0.2500 0.5000 x6

2.
Diffraction record for Ba2YCu4O8. The PXRD pattern is theoretical, not measured: it uses a cell relaxed with PBE and a wavelength of 1.5418 Å.
Peak positions follow from Bragg's law for the DFT cell and can differ from measured ones.

Top 8 peaks for 10 to 90 degrees two-theta, sorted by position:
two_theta	d/Å	I/Imax	index
25.42	3.503	29.5	1 3 0
29.09	3.070	52.7	0 6 1
32.14	2.785	51.5	1 7 0
33.45	2.679	45.9	0 8 1
34.12	2.628	100.0	1 3 1
43.66	2.073	31.1	0 14 0
45.68	1.986	33.1	0 0 2
48.44	1.879	27.5	2 0 0

Cell lengths 3.7585, 29.0276, 3.9724 Å; angles 90.00, 90.00, 90.00 degrees
Space group Cmmm (No. 65)
One atom of each set of equivalent atoms:
Ba1 0.0000 0.1412 0.0000 x4
Y1 0.0000 0.5000 0.0000 x2
Cu1 0.0000 0.2867 0.5000 x4
Cu2 0.0000 0.4256 0.5000 x4
O1 0.0000 0.0444 0.5000 x4
O2 0.0000 0.2208 0.5000 x4
O3 0.0000 0.3511 0.5000 x4
O4 0.0000 0.4250 0.0000 x4

3.
Diffraction record for Ba2YCu4O8. The PXRD pattern is theoretical, not measured: it uses a cell relaxed with PBE and a wavelength of 1.5418 Å.
Peak positions follow from Bragg's law for the DFT cell and can differ from measured ones.

Top 8 peaks for 10 to 90 degrees two-theta, sorted by position:
two_theta	d/Å	I/Imax	index
26.32	3.386	34.4	0 4 1
30.13	2.966	37.5	0 6 1
32.35	2.768	100.0	1 7 0
32.68	2.740	94.1	1 1 1
34.83	2.576	65.0	0 8 1
46.58	1.950	34.4	2 0 0
46.70	1.945	34.2	0 0 2
57.95	1.591	39.0	1 7 2

Cell lengths 3.8996, 27.5038, 3.8899 Å; angles 90.00, 90.00, 90.00 degrees
Space group Cmmm (No. 65)
One atom of each set of equivalent atoms:
Ba1 0.0000 0.1357 0.0000 x4
Y1 0.0000 0.0000 0.0000 x2
Cu1 0.0000 0.2873 0.5000 x4
Cu2 0.0000 0.4384 0.5000 x4
O1 0.0000 0.0521 0.5000 x4
O2 0.0000 0.2185 0.5000 x4
O3 0.0000 0.3546 0.5000 x4
O4 0.0000 0.4477 0.0000 x4

4.
Diffraction record for Ba4Y2Cu7O15. The PXRD pattern is theoretical, not measured: it uses a cell relaxed with PBE and a wavelength of 1.5418 Å.
Peak positions follow from Bragg's law for the DFT cell and can differ from measured ones.

Top 8 peaks for 10 to 90 degrees two-theta, sorted by position:
two_theta	d/Å	I/Imax	index
31.22	2.865	40.9	0 12 1
32.30	2.771	100.0	1 13 0
32.59	2.748	92.0	1 1 1
33.75	2.656	69.1	0 14 1
46.45	1.955	33.9	2 0 0
46.91	1.937	32.9	0 0 2
58.10	1.588	37.0	1 13 2
59.28	1.559	25.7	1 27 1

Cell lengths 3.9100, 51.0741, 3.8737 Å; angles 90.00, 90.00, 90.00 degrees
Space group Cmmm (No. 65)
One atom of each set of equivalent atoms:
Ba1 0.0000 0.0419 0.0000 x4
Ba2 0.0000 0.1880 0.0000 x4
Y1 0.0000 0.1150 0.0000 x4
Cu1 0.0000 0.2701 0.5000 x4
Cu2 0.0000 0.3514 0.5000 x4
Cu3 0.0000 0.4186 0.5000 x4
Cu4 0.0000 0.5000 0.5000 x2
O1 0.0000 0.0000 0.5000 x2
O2 0.0000 0.0871 0.5000 x4
O3 0.0000 0.1434 0.5000 x4
O4 0.0000 0.2331 0.5000 x4
O5 0.0000 0.3063 0.5000 x4
O6 0.0000 0.3564 0.0000 x4
O7 0.0000 0.4127 0.0000 x4
O8 0.0000 0.4632 0.5000 x4

5.
Diffraction record for Ba2YCu4O6. The PXRD pattern is theoretical, not measured: it uses a cell relaxed with PBE and a wavelength of 1.5418 Å.
Peak positions follow from Bragg's law for the DFT cell and can differ from measured ones.

Top 8 peaks for 10 to 90 degrees two-theta, sorted by position:
two_theta	d/Å	I/Imax	index
26.04	3.421	24.4	0 4 1
29.99	2.979	43.3	0 6 1
32.86	2.725	95.3	1 1 1
33.08	2.708	100.0	1 7 0
34.84	2.575	39.7	0 8 1
45.78	1.982	30.1	0 0 2
48.02	1.895	25.9	2 0 0
57.64	1.599	53.0	1 7 2

Cell lengths 3.7893, 27.0945, 3.9643 Å; angles 90.00, 90.00, 90.00 degrees
Space group Cmmm (No. 65)
One atom of each set of equivalent atoms:
Ba1 0.0000 0.1427 0.0000 x4
Y1 0.0000 0.0000 0.0000 x2
Cu1 0.0000 0.2891 0.5000 x4
Cu2 0.0000 0.4396 0.5000 x4
O1 0.0000 0.2171 0.5000 x4
O2 0.0000 0.3610 0.5000 x4
O3 0.0000 0.4478 0.0000 x4